Diffraction record for Th4GeCS2. The XRD peak list is computed, not measured: it uses a crystal structure in Alexandria, relaxed with GGA-PBE and λ = 1.5418 Å (Cu Kα).
Lines closer than 0.1° are merged.

Top 10 peaks for 2θ from 10° to 90°, low angle first:
- 2θ = 23.4°, d = 3.796 Å, intensity 32, hkl 0 0 2
- 2θ = 24.0°, d = 3.705 Å, intensity 29, hkl 0 2 0
- 2θ = 29.1°, d = 3.071 Å, intensity 65, hkl 1 1 2
- 2θ = 29.4°, d = 3.034 Å, intensity 100, hkl 1 2 1
- 2θ = 29.5°, d = 3.023 Å, intensity 74, hkl 2 1 1
- 2θ = 33.9°, d = 2.642 Å, intensity 38, hkl 2 0 2
- 2θ = 45.1°, d = 2.009 Å, intensity 27, hkl 1 2 3
- 2θ = 51.2°, d = 1.784 Å, intensity 30, hkl 1 1 4
- 2θ = 52.3°, d = 1.748 Å, intensity 30, hkl 1 4 1
- 2θ = 52.6°, d = 1.739 Å, intensity 44, hkl 4 1 1

```
data_Th4GeCS2
_cell_length_a 7.3595
_cell_length_b 7.4098
_cell_length_c 7.5926
_cell_angle_alpha 90.00
_cell_angle_beta 90.00
_cell_angle_gamma 90.00
_space_group_name_H-M_alt 'I 2 2 2'
_space_group_IT_number 23
loop_
_space_group_symop_operation_xyz
'x,y,z'
'-x,-y,z'
'x,-y,-z'
'-x,y,-z'
'x+1/2,y+1/2,z+1/2'
'-x+1/2,-y+1/2,z+1/2'
'x+1/2,-y+1/2,-z+1/2'
'-x+1/2,y+1/2,-z+1/2'
loop_
_atom_site_label
_atom_site_type_symbol
_atom_site_fract_x
_atom_site_fract_y
_atom_site_fract_z
_atom_site_occupancy
Th1 Th 0.1895 0.1768 0.1961 1
Ge1 Ge 0.0000 0.5000 0.0000 1
C1 C 0.0000 0.0000 0.0000 1
S1 S 0.0000 0.2589 0.5000 1
```